This entry pairs a crystal structure of Er2MgMo2Cl2O8 with its simulated PXRD pattern. Radiation: Cu Kα, 1.54184 Å. Structure: a crystal structure in the Materials Project, relaxed with PBE+U.
Peak positions follow from Bragg's law for the DFT cell and can differ from measured ones.

Peak list (10 most intense, 2θ from 10° to 80°, by angle)
d = 6.481 Å, rel. 65; d = 5.087 Å, rel. 72; d = 3.518 Å, rel. 100; d = 3.454 Å, rel. 73; d = 3.179 Å, rel. 52; d = 3.105 Å, rel. 64; d = 2.689 Å, rel. 69; d = 2.465 Å, rel. 31; d = 2.171 Å, rel. 31; d = 2.075 Å, rel. 34

Atomic structure:
```
data_Er2MgMo2Cl2O8
_chemical_formula_sum 'Er2 Mg1 Mo2 Cl2 O8'
_cell_length_a 6.4717
_cell_length_b 6.4757
_cell_length_c 6.9237
_cell_angle_alpha 72.81
_cell_angle_beta 72.82
_cell_angle_gamma 65.83
_symmetry_space_group_name_H-M 'P 1'
_symmetry_Int_Tables_number 1
loop_
_symmetry_equiv_pos_as_xyz
'x,y,z'
loop_
_atom_site_label
_atom_site_type_symbol
_atom_site_fract_x
_atom_site_fract_y
_atom_site_fract_z
_atom_site_occupancy
Er1 Er 0.0000 0.0000 0.0000 1
Er2 Er 0.4816 0.4816 0.7897 1
Mg1 Mg 0.5421 0.9396 0.3942 1
Mo1 Mo 0.5928 0.6064 0.1626 1
Mo2 Mo 0.8746 0.8890 0.6272 1
Cl1 Cl 0.2772 0.2026 0.6466 1
Cl2 Cl 0.2773 0.2054 0.1430 1
O1 O 0.1188 0.7325 0.7648 1
O2 O 0.3287 0.7077 0.0514 1
O3 O 0.4823 0.6267 0.4401 1
O4 O 0.6836 0.7202 0.6729 1
O5 O 0.7489 0.3625 0.0251 1
O6 O 0.7606 0.7987 0.1167 1
O7 O 0.7738 0.1529 0.7385 1
O8 O 0.8546 0.9994 0.3496 1
```

---

This entry pairs a crystal structure of Li5Co3O8 with its simulated PXRD pattern. Radiation: Cu Kα, 1.54184 Å. Structure: a crystal structure in the Materials Project, relaxed with PBE+U.
Peak positions follow from Bragg's law for the DFT cell and can differ from measured ones.

Peak list (10 most intense, 2θ from 10° to 80°, by angle)
d = 7.680 Å, rel. 19; d = 6.148 Å, rel. 12; d = 4.790 Å, rel. 100; d = 2.550 Å, rel. 16; d = 2.489 Å, rel. 12; d = 2.406 Å, rel. 8; d = 2.140 Å, rel. 32; d = 2.070 Å, rel. 27; d = 1.983 Å, rel. 23; d = 1.488 Å, rel. 16

Atomic structure:
```
data_Li5Co3O8
_chemical_formula_sum 'Li5 Co3 O8'
_cell_length_a 2.9764
_cell_length_b 6.3130
_cell_length_c 7.7794
_cell_angle_alpha 88.22
_cell_angle_beta 80.84
_cell_angle_gamma 76.86
_symmetry_space_group_name_H-M 'P 1'
_symmetry_Int_Tables_number 1
loop_
_symmetry_equiv_pos_as_xyz
'x,y,z'
loop_
_atom_site_label
_atom_site_type_symbol
_atom_site_fract_x
_atom_site_fract_y
_atom_site_fract_z
_atom_site_occupancy
Li1 Li 0.0000 0.0000 0.0000 1
Li2 Li 0.2434 0.8806 0.6243 1
Li3 Li 0.2600 0.3696 0.1209 1
Li4 Li 0.7400 0.6304 0.8791 1
Li5 Li 0.7566 0.1194 0.3757 1
Co1 Co 0.0000 0.5000 0.5000 1
Co2 Co 0.4970 0.2432 0.7608 1
Co3 Co 0.5030 0.7568 0.2392 1
O1 O 0.1422 0.6930 0.0785 1
O2 O 0.1426 0.2045 0.5700 1
O3 O 0.3826 0.0348 0.1982 1
O4 O 0.3963 0.5393 0.6860 1
O5 O 0.6037 0.4607 0.3140 1
O6 O 0.6174 0.9652 0.8018 1
O7 O 0.8574 0.7955 0.4300 1
O8 O 0.8578 0.3070 0.9215 1
```

---

This entry pairs a crystal structure of LiV2Bi2Pb2O10 with its simulated PXRD pattern. Radiation: Cu Kα, 1.54184 Å. Structure: a crystal structure in the Materials Project, relaxed with PBE+U.
Peak positions follow from Bragg's law for the DFT cell and can differ from measured ones.

Peak list (10 most intense, 2θ from 10° to 80°, by angle)
d = 6.000 Å, rel. 20; d = 4.875 Å, rel. 65; d = 3.902 Å, rel. 25; d = 3.464 Å, rel. 60; d = 3.348 Å, rel. 100; d = 3.059 Å, rel. 68; d = 2.824 Å, rel. 23; d = 2.222 Å, rel. 22; d = 2.075 Å, rel. 22; d = 1.817 Å, rel. 23

Atomic structure:
```
data_LiV2Bi2Pb2O10
_chemical_formula_sum 'Li1 V2 Bi2 Pb2 O10'
_cell_length_a 7.1564
_cell_length_b 7.1564
_cell_length_c 8.4141
_cell_angle_alpha 109.75
_cell_angle_beta 109.75
_cell_angle_gamma 50.63
_symmetry_space_group_name_H-M 'P 1'
_symmetry_Int_Tables_number 1
loop_
_symmetry_equiv_pos_as_xyz
'x,y,z'
loop_
_atom_site_label
_atom_site_type_symbol
_atom_site_fract_x
_atom_site_fract_y
_atom_site_fract_z
_atom_site_occupancy
Li1 Li 0.0000 0.0000 0.0000 1
V1 V 0.3285 0.3285 0.3676 1
V2 V 0.6715 0.6715 0.6324 1
Bi1 Bi 0.0161 0.0161 0.6957 1
Bi2 Bi 0.9839 0.9839 0.3043 1
Pb1 Pb 0.3580 0.3580 0.8501 1
Pb2 Pb 0.6420 0.6420 0.1499 1
O1 O 0.1187 0.6057 0.2790 1
O2 O 0.1866 0.1866 0.3108 1
O3 O 0.2772 0.7228 0.0000 1
O4 O 0.3943 0.8813 0.7210 1
O5 O 0.3957 0.3957 0.5867 1
O6 O 0.6043 0.6043 0.4133 1
O7 O 0.6057 0.1187 0.2790 1
O8 O 0.7228 0.2772 0.0000 1
O9 O 0.8134 0.8134 0.6892 1
O10 O 0.8813 0.3943 0.7210 1
```